Computed PXRD pattern of DyHoBPb for copper Kα, from the PBE geometry in OQMD.
Lines closer than 0.1° are merged.

Largest 12 diffraction maxima, in order of falling intensity, 2θ from 5° to 70°:
32.3 deg, I = 100; 60.2 deg, I = 39; 27.9 deg, I = 23; 49.4 deg, I = 21; 32.2 deg, I = 21; 57.5 deg, I = 19; 43.1 deg, I = 16; 67.6 deg, I = 4; 57.7 deg, I = 3; 67.4 deg, I = 3; 10.6 deg, I = 2; 39.0 deg, I = 2

Atomic structure:
```
data_DyHoBPb
_chemical_formula_sum 'Dy2 Ho2 B2 Pb2'
_symmetry_space_group_name_H-M 'P 1'
_symmetry_Int_Tables_number 1
_cell_length_a 3.6895
_cell_length_b 3.6895
_cell_length_c 16.6737
_cell_angle_alpha 90.00
_cell_angle_beta 90.00
_cell_angle_gamma 120.00
loop_
_symmetry_equiv_pos_as_xyz
'x,y,z'
loop_
_atom_site_label
_atom_site_type_symbol
_atom_site_fract_x
_atom_site_fract_y
_atom_site_fract_z
Dy1 Dy 0.3333 0.6667 0.4102
Dy2 Dy 0.6667 0.3333 0.5898
Ho1 Ho 0.3333 0.6667 0.0886
Ho2 Ho 0.6667 0.3333 0.9114
B1 B 0.0000 0.0000 0.0000
B2 B 0.0000 0.0000 0.5000
Pb1 Pb 0.3333 0.6667 0.7509
Pb2 Pb 0.6667 0.3333 0.2491
```



Computed PXRD pattern of Dy2Y2BI5 for copper Kα, from the PBE geometry in OQMD.
Lines closer than 0.1° are merged.

Largest 12 diffraction maxima, in order of falling intensity, 2θ from 5° to 70°:
30.2 deg, I = 100; 28.8 deg, I = 52; 42.0 deg, I = 32; 42.3 deg, I = 31; 32.7 deg, I = 30; 44.7 deg, I = 20; 9.5 deg, I = 19; 54.0 deg, I = 19; 22.4 deg, I = 18; 29.5 deg, I = 16; 27.1 deg, I = 16; 41.7 deg, I = 13

Atomic structure:
```
data_Dy2Y2BI5
_chemical_formula_sum 'Dy2 Y2 B1 I5'
_symmetry_space_group_name_H-M 'P 1'
_symmetry_Int_Tables_number 1
_cell_length_a 9.7553
_cell_length_b 9.7553
_cell_length_c 8.6645
_cell_angle_alpha 102.31
_cell_angle_beta 102.31
_cell_angle_gamma 23.98
loop_
_symmetry_equiv_pos_as_xyz
'x,y,z'
loop_
_atom_site_label
_atom_site_type_symbol
_atom_site_fract_x
_atom_site_fract_y
_atom_site_fract_z
Dy1 Dy 0.0006 0.0006 0.3054
Dy2 Dy 0.9994 0.9994 0.6946
Y1 Y 0.3650 0.3650 0.4319
Y2 Y 0.6350 0.6350 0.5681
B1 B 0.5000 0.5000 0.5000
I1 I 0.1645 0.1645 0.8408
I2 I 0.1705 0.1705 0.3244
I3 I 0.5000 0.5000 0.0000
I4 I 0.8295 0.8295 0.6756
I5 I 0.8355 0.8355 0.1592
```



Computed PXRD pattern of PrDyB2Ir2N2 for copper Kα, from the PBE geometry in OQMD.
Lines closer than 0.1° are merged.

Largest 12 diffraction maxima, in order of falling intensity, 2θ from 5° to 70°:
35.6 deg, I = 100; 41.4 deg, I = 65; 11.7 deg, I = 55; 35.8 deg, I = 40; 48.1 deg, I = 38; 26.3 deg, I = 37; 61.3 deg, I = 34; 33.6 deg, I = 26; 60.1 deg, I = 25; 23.6 deg, I = 11; 55.6 deg, I = 10; 59.9 deg, I = 10

Atomic structure:
```
data_PrDyB2Ir2N2
_chemical_formula_sum 'Pr1 Dy1 B2 Ir2 N2'
_symmetry_space_group_name_H-M 'P 1'
_symmetry_Int_Tables_number 1
_cell_length_a 3.7858
_cell_length_b 3.7858
_cell_length_c 7.5334
_cell_angle_alpha 90.00
_cell_angle_beta 90.00
_cell_angle_gamma 90.00
loop_
_symmetry_equiv_pos_as_xyz
'x,y,z'
loop_
_atom_site_label
_atom_site_type_symbol
_atom_site_fract_x
_atom_site_fract_y
_atom_site_fract_z
Pr1 Pr 0.0000 0.0000 0.0000
Dy1 Dy 0.5000 0.5000 0.6703
B1 B 0.0000 0.0000 0.4854
B2 B 0.5000 0.5000 0.1802
Ir1 Ir 0.0000 0.5000 0.3369
Ir2 Ir 0.5000 0.0000 0.3369
N1 N 0.0000 0.0000 0.6827
N2 N 0.5000 0.5000 0.9800
```



Computed PXRD pattern of DyYB2Ir2N2 for copper Kα, from the PBE geometry in OQMD.
Lines closer than 0.1° are merged.

Largest 12 diffraction maxima, in order of falling intensity, 2θ from 5° to 70°:
36.0 deg, I = 100; 11.9 deg, I = 75; 41.9 deg, I = 63; 36.2 deg, I = 37; 48.6 deg, I = 35; 62.1 deg, I = 31; 26.6 deg, I = 26; 60.8 deg, I = 25; 33.9 deg, I = 21; 23.9 deg, I = 17; 50.2 deg, I = 9; 54.9 deg, I = 8

Atomic structure:
```
data_DyYB2Ir2N2
_chemical_formula_sum 'Dy1 Y1 B2 Ir2 N2'
_symmetry_space_group_name_H-M 'P 1'
_symmetry_Int_Tables_number 1
_cell_length_a 3.7447
_cell_length_b 3.7447
_cell_length_c 7.4473
_cell_angle_alpha 90.00
_cell_angle_beta 90.00
_cell_angle_gamma 90.00
loop_
_symmetry_equiv_pos_as_xyz
'x,y,z'
loop_
_atom_site_label
_atom_site_type_symbol
_atom_site_fract_x
_atom_site_fract_y
_atom_site_fract_z
Dy1 Dy 0.0000 0.0000 0.0000
Y1 Y 0.5000 0.5000 0.6754
B1 B 0.0000 0.0000 0.4940
B2 B 0.5000 0.5000 0.1811
Ir1 Ir 0.0000 0.5000 0.3374
Ir2 Ir 0.5000 0.0000 0.3374
N1 N 0.0000 0.0000 0.6946
N2 N 0.5000 0.5000 0.9808
```



Computed PXRD pattern of KLi2DyB2O6 for copper Kα, from the PBE geometry in OQMD.
Lines closer than 0.1° are merged.

Largest 12 diffraction maxima, in order of falling intensity, 2θ from 5° to 70°:
16.7 deg, I = 100; 29.2 deg, I = 86; 33.4 deg, I = 84; 21.6 deg, I = 75; 18.7 deg, I = 74; 17.9 deg, I = 57; 33.2 deg, I = 55; 27.5 deg, I = 42; 21.0 deg, I = 39; 30.7 deg, I = 36; 32.2 deg, I = 32; 43.3 deg, I = 31

Atomic structure:
```
data_KLi2DyB2O6
_chemical_formula_sum 'K4 Li8 Dy4 B8 O24'
_symmetry_space_group_name_H-M 'P 1'
_symmetry_Int_Tables_number 1
_cell_length_a 6.6479
_cell_length_b 9.3136
_cell_length_c 9.9185
_cell_angle_alpha 90.00
_cell_angle_beta 118.13
_cell_angle_gamma 90.00
loop_
_symmetry_equiv_pos_as_xyz
'x,y,z'
loop_
_atom_site_label
_atom_site_type_symbol
_atom_site_fract_x
_atom_site_fract_y
_atom_site_fract_z
K1 K 0.1606 0.1250 0.0868
K2 K 0.1606 0.3750 0.5868
K3 K 0.8394 0.6250 0.4132
K4 K 0.8394 0.8750 0.9132
Li1 Li 0.3673 0.1148 0.4510
Li2 Li 0.3673 0.3852 0.9510
Li3 Li 0.4256 0.6158 0.5067
Li4 Li 0.4256 0.8842 0.0067
Li5 Li 0.5744 0.1158 0.9933
Li6 Li 0.5744 0.3842 0.4933
Li7 Li 0.6327 0.6148 0.0490
Li8 Li 0.6327 0.8852 0.5490
Dy1 Dy 0.1956 0.6172 0.1579
Dy2 Dy 0.1956 0.8828 0.6579
Dy3 Dy 0.8044 0.1172 0.3421
Dy4 Dy 0.8044 0.3828 0.8421
B1 B 0.1149 0.1413 0.7630
B2 B 0.1149 0.3587 0.2630
B3 B 0.4136 0.6294 0.7839
B4 B 0.4136 0.8706 0.2839
B5 B 0.5864 0.1294 0.7161
B6 B 0.5864 0.3706 0.2161
B7 B 0.8851 0.6413 0.7370
B8 B 0.8851 0.8587 0.2370
O1 O 0.0031 0.1056 0.6073
O2 O 0.0031 0.3944 0.1073
O3 O 0.0956 0.2258 0.3174
O4 O 0.0956 0.2742 0.8174
O5 O 0.2597 0.0359 0.8597
O6 O 0.2597 0.4641 0.3597
O7 O 0.2852 0.6497 0.6283
O8 O 0.2852 0.8503 0.1283
O9 O 0.4499 0.7482 0.8761
O10 O 0.4499 0.7518 0.3761
O11 O 0.4938 0.5027 0.1498
O12 O 0.4938 0.9973 0.6498
O13 O 0.5062 0.0027 0.3502
O14 O 0.5062 0.4973 0.8502
O15 O 0.5501 0.2482 0.6239
O16 O 0.5501 0.2518 0.1239
O17 O 0.7148 0.1497 0.8717
O18 O 0.7148 0.3503 0.3717
O19 O 0.7403 0.5359 0.6403
O20 O 0.7403 0.9641 0.1403
O21 O 0.9044 0.7258 0.1826
O22 O 0.9044 0.7742 0.6826
O23 O 0.9969 0.6056 0.8927
O24 O 0.9969 0.8944 0.3927
```



Computed PXRD pattern of La2DyNi2B2N3 for copper Kα, from the PBE geometry in OQMD.
Lines closer than 0.1° are merged.

Largest 12 diffraction maxima, in order of falling intensity, 2θ from 5° to 70°:
27.8 deg, I = 100; 33.3 deg, I = 66; 35.7 deg, I = 43; 36.5 deg, I = 43; 49.5 deg, I = 39; 34.5 deg, I = 38; 63.1 deg, I = 33; 44.4 deg, I = 31; 57.8 deg, I = 28; 39.2 deg, I = 26; 61.0 deg, I = 24; 51.1 deg, I = 20

Atomic structure:
```
data_La2DyNi2B2N3
_chemical_formula_sum 'La2 Dy1 Ni2 B2 N3'
_symmetry_space_group_name_H-M 'P 1'
_symmetry_Int_Tables_number 1
_cell_length_a 10.1856
_cell_length_b 10.1856
_cell_length_c 10.1856
_cell_angle_alpha 159.19
_cell_angle_beta 159.19
_cell_angle_gamma 29.60
loop_
_symmetry_equiv_pos_as_xyz
'x,y,z'
loop_
_atom_site_label
_atom_site_type_symbol
_atom_site_fract_x
_atom_site_fract_y
_atom_site_fract_z
La1 La 0.1272 0.1272 0.0000
La2 La 0.8728 0.8728 0.0000
Dy1 Dy 0.5000 0.5000 0.0000
Ni1 Ni 0.2500 0.7500 0.5000
Ni2 Ni 0.7500 0.2500 0.5000
B1 B 0.3050 0.3050 0.0000
B2 B 0.6950 0.6950 0.0000
N1 N 0.0000 0.0000 0.0000
N2 N 0.3788 0.3788 0.0000
N3 N 0.6212 0.6212 0.0000
```